Record 1
This entry pairs a crystal structure of Ca4Te3 with its simulated powder diffraction line list. Radiation: Cu Kα, 1.54184 Å. Structure: DFT lattice parameters and positions (GGA-PBE).
Lines closer than 0.1° are merged.

```
data_Ca4Te3
_chemical_formula_sum 'Ca12 Te9'
_cell_length_a 4.4371
_cell_length_b 4.4371
_cell_length_c 43.2398
_cell_angle_alpha 90.00
_cell_angle_beta 90.00
_cell_angle_gamma 120.00
_space_group_name_H-M_alt 'R -3 m'
_space_group_IT_number 166
_space_group_name_Hall '-R 3 2"'
loop_
_atom_site_label
_atom_site_fract_x
_atom_site_fract_y
_atom_site_fract_z
_atom_site_occupancy
Ca1 0.0000 0.0000 0.1236 1
Ca2 0.0000 0.0000 0.3699 1
Te1 0.0000 0.0000 0.2536 1
Te2 0.0000 0.0000 0.5000 1
```

Peak list (12 most intense, 2θ = 10–80°, sorted by position)
2θ 24.59, d 3.621, rel. 20, hkl 1 0 4; 2θ 25.36, d 3.512, rel. 13, hkl 0 1 5; 2θ 28.50, d 3.132, rel. 100, hkl 0 1 8; 2θ 35.70, d 2.515, rel. 10, hkl 1 0 13; 2θ 40.67, d 2.219, rel. 38, hkl 1 1 0; 2θ 40.82, d 2.211, rel. 34, hkl 1 0 16; 2θ 48.14, d 1.890, rel. 10, hkl 0 2 4; 2θ 50.41, d 1.810, rel. 20, hkl 2 0 8; 2θ 58.99, d 1.566, rel. 11, hkl 0 2 16; 2θ 66.68, d 1.403, rel. 16, hkl 1 2 8; 2θ 66.90, d 1.399, rel. 13, hkl 1 1 24; 2θ 74.11, d 1.279, rel. 11, hkl 2 1 16

Record 2
This entry pairs a crystal structure of CaThTe6 with its simulated powder diffraction line list. Radiation: Cu Kα, 1.54184 Å. Structure: DFT lattice parameters and positions (GGA-PBE).
Lines closer than 0.1° are merged.

```
data_CaThTe6
_chemical_formula_sum 'Ca2 Th2 Te12'
_cell_length_a 4.409
_cell_length_b 4.409
_cell_length_c 27.340
_cell_angle_alpha 90.00
_cell_angle_beta 90.00
_cell_angle_gamma 90.00
_space_group_name_H-M_alt 'A m m 2'
_space_group_IT_number 38
_space_group_name_Hall 'A 2 -2'
loop_
_atom_site_label
_atom_site_fract_x
_atom_site_fract_y
_atom_site_fract_z
_atom_site_occupancy
Ca1 0.000 0.000 0.000 1
Th1 0.500 0.000 0.652 1
Te1 0.000 0.000 0.119 1
Te2 0.000 0.000 0.398 1
Te3 0.000 0.000 0.743 1
Te4 0.500 0.000 0.243 1
Te5 0.500 0.000 0.534 1
Te6 0.500 0.000 0.898 1
```

Peak list (12 most intense, 2θ = 10–80°, sorted by position)
2θ 12.95, d 6.835, rel. 22, hkl 0 0 4; 2θ 26.07, d 3.417, rel. 35, hkl 0 0 8; 2θ 28.82, d 3.098, rel. 15, hkl 1 1 1; 2θ 30.30, d 2.950, rel. 100, hkl 1 1 3; 2θ 33.10, d 2.707, rel. 49, hkl 1 1 5; 2θ 36.89, d 2.437, rel. 25, hkl 1 1 7; 2θ 40.93, d 2.205, rel. 44, hkl 2 0 0; 2θ 41.50, d 2.176, rel. 14, hkl 1 1 9; 2θ 46.74, d 1.944, rel. 13, hkl 1 1 11; 2θ 49.18, d 1.853, rel. 25, hkl 2 0 8; 2θ 59.27, d 1.559, rel. 15, hkl 2 2 0; 2θ 68.02, d 1.378, rel. 19, hkl 3 1 3

Record 3
This entry pairs a crystal structure of CaTl12Te7 with its simulated powder diffraction line list. Radiation: Cu Kα, 1.54184 Å. Structure: DFT lattice parameters and positions (GGA-PBE).
Lines closer than 0.1° are merged.

```
data_CaTl12Te7
_chemical_formula_sum 'Ca3 Tl36 Te21'
_cell_length_a 15.1989
_cell_length_b 15.1989
_cell_length_c 12.0165
_cell_angle_alpha 90.00
_cell_angle_beta 90.00
_cell_angle_gamma 120.00
_space_group_name_H-M_alt 'R -3'
_space_group_IT_number 148
_space_group_name_Hall '-R 3'
loop_
_atom_site_label
_atom_site_fract_x
_atom_site_fract_y
_atom_site_fract_z
_atom_site_occupancy
Ca1 0.0000 0.0000 0.0000 1
Tl1 0.0081 0.2572 0.0834 1
Tl2 0.0296 0.1779 0.3370 1
Te1 0.0000 0.0000 0.5000 1
Te2 0.0220 0.1806 0.8331 1
```

Peak list (12 most intense, 2θ = 10–80°, sorted by position)
2θ 19.31, d 4.597, rel. 60, hkl 2 1 1; 2θ 23.41, d 3.800, rel. 45, hkl 2 2 0; 2θ 25.13, d 3.543, rel. 43, hkl 2 -1 3; 2θ 28.61, d 3.120, rel. 100, hkl 3 1 2; 2θ 31.14, d 2.872, rel. 34, hkl 1 4 0; 2θ 33.20, d 2.698, rel. 67, hkl 5 -3 2; 2θ 34.89, d 2.572, rel. 65, hkl 3 -1 4; 2θ 38.82, d 2.320, rel. 38, hkl 4 -3 4; 2θ 41.03, d 2.200, rel. 25, hkl 1 5 2; 2θ 44.50, d 2.036, rel. 23, hkl 7 -4 2; 2θ 62.82, d 1.479, rel. 23, hkl 6 0 6; 2θ 64.85, d 1.438, rel. 28, hkl 3 7 2

Record 4
This entry pairs a crystal structure of CaTl2Te with its simulated powder diffraction line list. Radiation: Cu Kα, 1.54184 Å. Structure: DFT lattice parameters and positions (GGA-PBE).
Lines closer than 0.1° are merged.

```
data_CaTl2Te
_chemical_formula_sum 'Ca2 Tl4 Te2'
_cell_length_a 6.355
_cell_length_b 12.556
_cell_length_c 4.436
_cell_angle_alpha 90.00
_cell_angle_beta 133.19
_cell_angle_gamma 90.00
_space_group_name_H-M_alt 'C 1 2/m 1'
_space_group_IT_number 12
_space_group_name_Hall '-C 2y'
loop_
_atom_site_label
_atom_site_fract_x
_atom_site_fract_y
_atom_site_fract_z
_atom_site_occupancy
Ca1 0.000 0.000 0.000 1
Tl1 0.250 0.250 0.500 1
Te1 0.000 0.500 0.000 1
```

Peak list (12 most intense, 2θ = 10–80°, sorted by position)
2θ 14.11, d 6.278, rel. 51, hkl 0 2 0; 2θ 28.11, d 3.175, rel. 65, hkl 2 0 -1; 2θ 28.43, d 3.139, rel. 63, hkl 0 4 0; 2θ 31.11, d 2.875, rel. 100, hkl 0 2 1; 2θ 31.58, d 2.833, rel. 16, hkl 2 2 -1; 2θ 40.41, d 2.232, rel. 49, hkl 2 4 -1; 2θ 41.55, d 2.173, rel. 46, hkl 2 2 0; 2θ 43.27, d 2.091, rel. 44, hkl 2 2 -2; 2θ 52.05, d 1.757, rel. 24, hkl 0 6 1; 2θ 59.53, d 1.553, rel. 16, hkl 2 6 0; 2θ 60.86, d 1.522, rel. 15, hkl 2 6 -2; 2θ 65.95, d 1.416, rel. 17, hkl 4 4 -2

Record 5
This entry pairs a crystal structure of Ca4Tm3Te8 with its simulated powder diffraction line list. Radiation: Cu Kα, 1.54184 Å. Structure: DFT lattice parameters and positions (GGA-PBE).
Lines closer than 0.1° are merged.

```
data_Ca4Tm3Te8
_chemical_formula_sum 'Ca12 Tm9 Te24'
_cell_length_a 8.7672
_cell_length_b 8.7672
_cell_length_c 24.1570
_cell_angle_alpha 90.00
_cell_angle_beta 90.00
_cell_angle_gamma 120.00
_space_group_name_H-M_alt 'R -3 m'
_space_group_IT_number 166
_space_group_name_Hall '-R 3 2"'
loop_
_atom_site_label
_atom_site_fract_x
_atom_site_fract_y
_atom_site_fract_z
_atom_site_occupancy
Ca1 0.0000 0.0000 0.0000 1
Ca2 0.0000 0.0000 0.1442 1
Ca3 0.0000 0.0000 0.5000 1
Tm1 0.0000 0.5000 0.0000 1
Te1 0.0000 0.0000 0.2668 1
Te2 0.0112 0.5056 0.2566 1
```

Peak list (12 most intense, 2θ = 10–80°, sorted by position)
2θ 10.99, d 8.052, rel. 45, hkl 0 0 3; 2θ 23.72, d 3.750, rel. 17, hkl 0 2 1; 2θ 24.58, d 3.622, rel. 11, hkl 2 0 2; 2θ 27.76, d 3.214, rel. 100, hkl 0 2 4; 2θ 35.14, d 2.554, rel. 23, hkl 0 2 7; 2θ 38.08, d 2.363, rel. 45, hkl 2 0 8; 2θ 41.19, d 2.192, rel. 44, hkl 2 2 0; 2θ 50.39, d 1.811, rel. 19, hkl 4 0 4; 2θ 57.33, d 1.607, rel. 13, hkl 0 4 8; 2θ 62.66, d 1.483, rel. 16, hkl 2 2 12; 2θ 67.04, d 1.396, rel. 16, hkl 2 4 4; 2θ 73.00, d 1.296, rel. 13, hkl 4 2 8

Record 6
This entry pairs a crystal structure of CaTm2Te4 with its simulated powder diffraction line list. Radiation: Cu Kα, 1.54184 Å. Structure: DFT lattice parameters and positions (GGA-PBE).
Lines closer than 0.1° are merged.

```
data_CaTm2Te4
_chemical_formula_sum 'Ca1 Tm2 Te4'
_cell_length_a 7.463
_cell_length_b 4.365
_cell_length_c 7.738
_cell_angle_alpha 90.00
_cell_angle_beta 107.64
_cell_angle_gamma 90.00
_space_group_name_H-M_alt 'P 1 2/m 1'
_space_group_IT_number 10
_space_group_name_Hall '-P 2y'
loop_
_atom_site_label
_atom_site_fract_x
_atom_site_fract_y
_atom_site_fract_z
_atom_site_occupancy
Ca1 0.000 0.000 0.000 1
Tm1 0.000 0.500 0.500 1
Tm2 0.500 0.000 0.500 1
Te1 0.245 0.000 0.735 1
Te2 0.262 0.500 0.258 1
```

Peak list (12 most intense, 2θ = 10–80°, sorted by position)
2θ 12.00, d 7.374, rel. 52, hkl 0 0 1; 2θ 23.92, d 3.720, rel. 14, hkl 1 1 0; 2θ 28.53, d 3.128, rel. 100, hkl 1 1 1; 2θ 29.13, d 3.065, rel. 48, hkl 2 0 -2; 2θ 40.21, d 2.243, rel. 19, hkl 2 0 2; 2θ 40.66, d 2.219, rel. 38, hkl 1 1 -3; 2θ 41.37, d 2.183, rel. 18, hkl 0 2 0; 2θ 41.80, d 2.161, rel. 35, hkl 3 1 -1; 2θ 49.44, d 1.844, rel. 10, hkl 0 0 4; 2θ 51.39, d 1.778, rel. 29, hkl 2 2 -2; 2θ 59.06, d 1.564, rel. 12, hkl 2 2 2; 2θ 74.95, d 1.267, rel. 12, hkl 1 3 -3